# 1
PmPr2Y3Tm6: calculated powder diffractogram (λ = 1.5418 Å (Cu Kα)), based on a crystal structure in Alexandria, relaxed with GGA-PBE.

Largest 10 diffraction maxima, sorted by position, 5 to 70 degrees two-theta:
d = 5.782 Å, intensity 5; d = 2.910 Å, intensity 100; d = 2.891 Å, intensity 33; d = 2.516 Å, intensity 67; d = 1.784 Å, intensity 24; d = 1.775 Å, intensity 23; d = 1.521 Å, intensity 14; d = 1.518 Å, intensity 28; d = 1.512 Å, intensity 14; d = 1.455 Å, intensity 12

Structure:
a = 6.177 Å, b = 6.177 Å, c = 11.745 Å
α = 95.02°, β = 95.02°, γ = 119.96°
Sites, in units of the cell vectors:
Pm1 0.000 0.000 0.000
Pr1 0.333 0.667 0.000
Pr2 0.667 0.333 0.000
Y1 0.167 0.833 0.500
Y2 0.500 0.500 0.500
Y3 0.833 0.167 0.500
Tm1 0.085 0.418 0.253
Tm2 0.248 0.248 0.747
Tm3 0.418 0.085 0.253
Tm4 0.582 0.915 0.747
Tm5 0.752 0.752 0.253
Tm6 0.915 0.582 0.747


# 2
Ca6Tl2In: calculated powder diffractogram (λ = 1.5418 Å (Cu Kα)), based on a crystal structure in Alexandria, relaxed with GGA-PBE.

Largest 10 diffraction maxima, sorted by position, 5 to 70 degrees two-theta:
d = 7.408 Å, intensity 20; d = 5.239 Å, intensity 22; d = 4.686 Å, intensity 20; d = 4.371 Å, intensity 64; d = 3.704 Å, intensity 20; d = 2.935 Å, intensity 100; d = 2.826 Å, intensity 57; d = 2.707 Å, intensity 32; d = 2.469 Å, intensity 20; d = 1.584 Å, intensity 20

Structure:
a = 10.474 Å, b = 10.480 Å, c = 5.414 Å
α = 90.00°, β = 90.00°, γ = 90.00°
Sites, in units of the cell vectors:
Ca1 0.028 0.192 0.000
Ca2 0.122 0.622 0.500
Ca3 0.192 0.972 0.500
Ca4 0.308 0.472 0.000
Ca5 0.378 0.122 0.000
Ca6 0.472 0.692 0.500
Ca7 0.528 0.308 0.500
Ca8 0.622 0.878 0.000
Ca9 0.692 0.528 0.000
Ca10 0.808 0.028 0.500
Ca11 0.878 0.378 0.500
Ca12 0.972 0.808 0.000
Tl1 0.207 0.292 0.500
Tl2 0.293 0.792 0.000
Tl3 0.707 0.208 0.000
Tl4 0.793 0.708 0.500
In1 0.000 0.500 0.000
In2 0.500 0.000 0.500


# 3
La4Cd3Rh: calculated powder diffractogram (λ = 1.5418 Å (Cu Kα)), based on a crystal structure in Alexandria, relaxed with GGA-PBE.

Largest 10 diffraction maxima, sorted by position, 5 to 70 degrees two-theta:
d = 3.080 Å, intensity 4; d = 2.743 Å, intensity 100; d = 2.671 Å, intensity 52; d = 1.995 Å, intensity 7; d = 1.889 Å, intensity 18; d = 1.734 Å, intensity 4; d = 1.598 Å, intensity 14; d = 1.556 Å, intensity 35; d = 1.371 Å, intensity 9; d = 1.354 Å, intensity 4

Structure:
a = 3.778 Å, b = 3.778 Å, c = 15.958 Å
α = 90.00°, β = 90.00°, γ = 90.00°
Sites, in units of the cell vectors:
La1 0.000 0.000 0.102
La2 0.000 0.000 0.370
La3 0.000 0.000 0.630
La4 0.000 0.000 0.898
Cd1 0.500 0.500 0.240
Cd2 0.500 0.500 0.500
Cd3 0.500 0.500 0.760
Rh1 0.500 0.500 0.000